Record 1
The following is a computed powder diffractogram of NdSm3In3. It was derived from a DFT-relaxed cell (PBE, Alexandria), using copper Kα.
Kinematic intensities with the Lorentz-polarization factor, no thermal factor.

The 6 most intense peaks (10 to 90 degrees two-theta), most intense first:
(hkl), d_spacing, I/Imax
2 1 1, 2.697, 100
0 0 2, 2.606, 24
2 1 0, 3.152, 23
2 1 3, 1.521, 17
1 4 2, 1.492, 13
2 1 2, 2.008, 13

Structure:
a b c (Å): 9.6281 9.6281 5.2115
angles (deg): 90.00 90.00 120.00
Space group P6_3/m (No. 176)
Asymmetric unit:
Nd1 0.3333 0.6667 0.2500 [2 per cell]
Sm1 0.0022 0.7645 0.7500 [6 per cell]
In1 0.0673 0.4536 0.7500 [6 per cell]

***

Record 2
The following is a computed powder diffractogram of TmAg3F6. It was derived from a DFT-relaxed cell (PBE, Alexandria), using copper Kα.
Kinematic intensities with the Lorentz-polarization factor, no thermal factor.

The 6 most intense peaks (10 to 90 degrees two-theta), most intense first:
(hkl), d_spacing, I/Imax
1 1 3, 3.219, 100
2 0 2, 3.629, 90
3 0 0, 2.994, 84
0 1 2, 5.079, 36
2 1 1, 3.273, 36
4 0 4, 1.814, 33

Structure:
a b c (Å): 10.3710 10.3710 12.3181
angles (deg): 90.00 90.00 120.00
Space group R-3c (No. 167, hexagonal axes)
Asymmetric unit:
Tm1 0.0000 0.0000 0.0000 [6 per cell]
Ag1 0.0000 0.2883 0.2500 [18 per cell]
F1 0.0824 0.1987 0.4034 [36 per cell]

***

Record 3
The following is a computed powder diffractogram of Tb4TlSnC. It was derived from a DFT-relaxed cell (PBE, Alexandria), using copper Kα.
Kinematic intensities with the Lorentz-polarization factor, no thermal factor.

The 6 most intense peaks (10 to 90 degrees two-theta), most intense first:
(hkl), d_spacing, I/Imax
2 4 0, 2.597, 100
2 2 0, 3.158, 64
2 0 2, 2.436, 60
4 4 2, 1.436, 48
2 6 2, 1.789, 31
0 6 0, 2.635, 25

Structure:
a b c (Å): 6.892 15.811 6.887
angles (deg): 90.00 90.00 90.00
Space group Cmcm (No. 63)
Asymmetric unit:
Tb1 0.000 0.089 0.250 [4 per cell]
Tb2 0.000 0.411 0.250 [4 per cell]
Tb3 0.250 0.250 0.000 [8 per cell]
Tl1 0.000 0.112 0.750 [4 per cell]
Sn1 0.000 0.387 0.750 [4 per cell]
C1 0.000 0.249 0.250 [4 per cell]

***

Record 4
The following is a computed powder diffractogram of Tm5RhSe4. It was derived from a DFT-relaxed cell (PBE, Alexandria), using copper Kα.
Kinematic intensities with the Lorentz-polarization factor, no thermal factor.

The 6 most intense peaks (10 to 90 degrees two-theta), most intense first:
(hkl), d_spacing, I/Imax
1 1 0, 2.824, 100
1 1 10, 2.023, 65
0 0 10, 2.900, 45
2 0 0, 1.997, 37
2 0 10, 1.645, 34
1 0 5, 3.290, 29

Structure:
a b c (Å): 3.994 3.994 29.002
angles (deg): 90.00 90.00 90.00
Space group I4/mmm (No. 139)
Asymmetric unit:
Tm1 0.000 0.000 0.000 [2 per cell]
Tm2 0.000 0.000 0.207 [4 per cell]
Tm3 0.000 0.000 0.408 [4 per cell]
Rh1 0.000 0.000 0.500 [2 per cell]
Se1 0.000 0.000 0.107 [4 per cell]
Se2 0.000 0.000 0.306 [4 per cell]